1.
Diffraction record for Tb3Ni7Ru2. The powder diffractogram is simulated, not measured: it uses a PBE-relaxed structure and Cu Ka.

Main lines, most intense first (5° ≤ 2θ ≤ 70°):
42.1°, intensity 100; 35.9°, intensity 58; 32.4°, intensity 35; 35.3°, intensity 29; 41.8°, intensity 28; 68.7°, intensity 22; 45.6°, intensity 17; 67.4°, intensity 17; 44.9°, intensity 16; 43.3°, intensity 13

Unit cell a=8.840 b=8.840 c=8.840 alpha=32.90 beta=32.90 gamma=32.90
Sites, in units of the cell vectors:
Tb: 0.000 0.000 0.000
Tb: 0.138 0.138 0.138
Tb: 0.862 0.862 0.862
Ni: 0.083 0.584 0.584
Ni: 0.416 0.416 0.917
Ni: 0.416 0.917 0.416
Ni: 0.500 0.500 0.500
Ni: 0.584 0.083 0.584
Ni: 0.584 0.584 0.083
Ni: 0.917 0.416 0.416
Ru: 0.333 0.333 0.333
Ru: 0.667 0.667 0.667

2.
Diffraction record for CaNi5As2. The powder diffractogram is simulated, not measured: it uses a PBE-relaxed structure and Cu Ka.

Main lines, most intense first (5° ≤ 2θ ≤ 70°):
48.7°, intensity 100; 38.1°, intensity 91; 37.3°, intensity 73; 47.3°, intensity 70; 48.2°, intensity 64; 16.4°, intensity 44; 19.4°, intensity 27; 33.7°, intensity 23; 51.6°, intensity 23; 50.6°, intensity 20

Unit cell a=5.967 b=5.967 c=5.967 alpha=143.49 beta=111.50 gamma=80.19
Sites, in units of the cell vectors:
Ca: 0.000 0.000 0.000
Ni: 0.169 0.354 0.815
Ni: 0.461 0.646 0.815
Ni: 0.500 0.000 0.500
Ni: 0.539 0.354 0.185
Ni: 0.831 0.646 0.185
As: 0.249 0.749 0.500
As: 0.751 0.251 0.500